Calculated powder X-ray diffraction pattern
Compound: SmV4Cu3O12
Radiation: copper Kα
Structure: DFT lattice parameters and positions (GGA+U)
No peak broadening, texture or thermal motion is included.

Principal peaks in the range 10 to 90 degrees two-theta, sorted by position:
2θ = 16.88°, rel. 15.0
2θ = 23.95°, rel. 7.1
2θ = 34.13°, rel. 100.0
2θ = 38.31°, rel. 9.4
2θ = 42.13°, rel. 9.9
2θ = 45.69°, rel. 10.2
2θ = 49.04°, rel. 27.4
2θ = 61.10°, rel. 46.9
2θ = 71.88°, rel. 13.0
2θ = 82.03°, rel. 15.8

Crystal structure
abc: 6.4345 6.4345 6.4345
angles: 109.47 109.47 109.47
Atoms (fractional coordinates):
Sm 0.0000 0.0000 0.0000
V 0.0000 0.0000 0.5000
V 0.0000 0.5000 0.0000
V 0.5000 0.0000 0.0000
V 0.5000 0.5000 0.5000
Cu 0.0000 0.5000 0.5000
Cu 0.5000 0.0000 0.5000
Cu 0.5000 0.5000 0.0000
O 0.1186 0.2973 0.8214
O 0.1786 0.4759 0.2973
O 0.1786 0.8814 0.7027
O 0.2973 0.1786 0.4759
O 0.2973 0.8214 0.1186
O 0.4759 0.2973 0.1786
O 0.5241 0.7027 0.8214
O 0.7027 0.1786 0.8814
O 0.7027 0.8214 0.5241
O 0.8214 0.1186 0.2973
O 0.8214 0.5241 0.7027
O 0.8814 0.7027 0.1786